The following is a theoretical X-ray diffraction stick pattern of Na2Sm2B2O7. It was derived from a structure optimized by DFT (PBE), using Cu Kα (weighted mean of Kα1 and Kα2).
Intensities are scaled so that the largest is 100.

Largest 10 diffraction maxima, in order of rising 2θ, 10 to 90 degrees two-theta:
2theta  I/Imax
24.96  33
25.45  39
28.30  45
28.59  33
29.41  100
29.60  46
32.46  35
32.58  35
33.14  46
52.18  30

Atomic structure:
Unit cell a=10.832 b=6.415 c=10.464 alpha=90.00 beta=117.79 gamma=90.00
Element x y z (fractional)
Na (0.023, 0.057, 0.262)
Na (0.023, 0.443, 0.762)
Na (0.109, 0.738, 0.047)
Na (0.109, 0.762, 0.547)
Na (0.891, 0.238, 0.453)
Na (0.891, 0.262, 0.953)
Na (0.977, 0.557, 0.238)
Na (0.977, 0.943, 0.738)
Sm (0.315, 0.082, 0.911)
Sm (0.315, 0.418, 0.411)
Sm (0.482, 0.540, 0.181)
Sm (0.482, 0.960, 0.681)
Sm (0.518, 0.040, 0.319)
Sm (0.518, 0.460, 0.819)
Sm (0.685, 0.582, 0.589)
Sm (0.685, 0.918, 0.089)
B (0.182, 0.249, 0.580)
B (0.182, 0.251, 0.080)
B (0.290, 0.653, 0.850)
B (0.290, 0.847, 0.350)
B (0.710, 0.153, 0.650)
B (0.710, 0.347, 0.150)
B (0.818, 0.749, 0.920)
B (0.818, 0.751, 0.420)
O (0.102, 0.163, 0.945)
O (0.102, 0.337, 0.445)
O (0.127, 0.149, 0.659)
O (0.127, 0.351, 0.159)
O (0.183, 0.743, 0.864)
O (0.183, 0.757, 0.364)
O (0.329, 0.238, 0.135)
O (0.329, 0.262, 0.635)
O (0.348, 0.743, 0.272)
O (0.348, 0.757, 0.772)
O (0.349, 0.039, 0.412)
O (0.349, 0.461, 0.912)
O (0.473, 0.624, 0.596)
O (0.473, 0.876, 0.096)
O (0.527, 0.124, 0.904)
O (0.527, 0.376, 0.404)
O (0.651, 0.539, 0.088)
O (0.651, 0.961, 0.588)
O (0.652, 0.243, 0.228)
O (0.652, 0.257, 0.728)
O (0.671, 0.738, 0.365)
O (0.671, 0.762, 0.865)
O (0.817, 0.243, 0.636)
O (0.817, 0.257, 0.136)
O (0.873, 0.649, 0.841)
O (0.873, 0.851, 0.341)
O (0.898, 0.663, 0.555)
O (0.898, 0.837, 0.055)

---

The following is a theoretical X-ray diffraction stick pattern of NaSrBO3. It was derived from a structure optimized by DFT (PBE), using Cu Kα (weighted mean of Kα1 and Kα2).
Intensities are scaled so that the largest is 100.

Largest 10 diffraction maxima, in order of rising 2θ, 10 to 90 degrees two-theta:
2theta  I/Imax
22.38  61
24.11  51
29.63  53
33.37  100
33.78  51
35.44  32
38.10  40
39.61  65
41.48  40
44.15  29

Atomic structure:
Unit cell a=5.393 b=9.337 c=6.128 alpha=90.00 beta=100.26 gamma=90.00
Element x y z (fractional)
Na (0.243, 0.241, 0.465)
Na (0.243, 0.259, 0.965)
Na (0.757, 0.741, 0.035)
Na (0.757, 0.759, 0.535)
Sr (0.253, 0.587, 0.285)
Sr (0.253, 0.913, 0.785)
Sr (0.747, 0.087, 0.215)
Sr (0.747, 0.413, 0.715)
B (0.254, 0.580, 0.763)
B (0.254, 0.920, 0.263)
B (0.746, 0.080, 0.737)
B (0.746, 0.420, 0.237)
O (0.077, 0.645, 0.869)
O (0.077, 0.855, 0.369)
O (0.224, 0.061, 0.187)
O (0.224, 0.439, 0.687)
O (0.463, 0.655, 0.720)
O (0.463, 0.845, 0.220)
O (0.537, 0.155, 0.780)
O (0.537, 0.345, 0.280)
O (0.776, 0.561, 0.313)
O (0.776, 0.939, 0.813)
O (0.923, 0.145, 0.631)
O (0.923, 0.355, 0.131)

---

The following is a theoretical X-ray diffraction stick pattern of Na2Y2B2TeO10. It was derived from a structure optimized by DFT (PBE), using Cu Kα (weighted mean of Kα1 and Kα2).
Intensities are scaled so that the largest is 100.

Largest 10 diffraction maxima, in order of rising 2θ, 10 to 90 degrees two-theta:
2theta  I/Imax
14.30  100
16.81  20
27.00  39
27.30  24
29.84  61
30.21  32
31.72  38
33.80  29
48.60  17
49.50  20

Atomic structure:
Unit cell a=6.388 b=10.075 c=6.815 alpha=90.00 beta=104.23 gamma=90.00
Element x y z (fractional)
Na (0.084, 0.111, 0.166)
Na (0.084, 0.389, 0.666)
Na (0.916, 0.611, 0.334)
Na (0.916, 0.889, 0.834)
Y (0.373, 0.666, 0.976)
Y (0.373, 0.834, 0.476)
Y (0.627, 0.166, 0.524)
Y (0.627, 0.334, 0.024)
B (0.164, 0.100, 0.628)
B (0.164, 0.400, 0.128)
B (0.836, 0.600, 0.872)
B (0.836, 0.900, 0.372)
Te (0.500, 0.000, 0.000)
Te (0.500, 0.500, 0.500)
O (0.018, 0.673, 0.943)
O (0.018, 0.827, 0.443)
O (0.210, 0.062, 0.836)
O (0.210, 0.438, 0.336)
O (0.300, 0.062, 0.509)
O (0.300, 0.438, 0.009)
O (0.337, 0.615, 0.635)
O (0.337, 0.885, 0.135)
O (0.495, 0.150, 0.177)
O (0.495, 0.350, 0.677)
O (0.505, 0.650, 0.323)
O (0.505, 0.850, 0.823)
O (0.663, 0.115, 0.865)
O (0.663, 0.385, 0.365)
O (0.700, 0.562, 0.991)
O (0.700, 0.938, 0.491)
O (0.790, 0.562, 0.664)
O (0.790, 0.938, 0.164)
O (0.982, 0.173, 0.557)
O (0.982, 0.327, 0.057)

---

The following is a theoretical X-ray diffraction stick pattern of NaUB6O15. It was derived from a structure optimized by DFT (PBE), using Cu Kα (weighted mean of Kα1 and Kα2).
Intensities are scaled so that the largest is 100.

Largest 10 diffraction maxima, in order of rising 2θ, 10 to 90 degrees two-theta:
2theta  I/Imax
10.92  100
15.76  16
16.49  29
16.95  41
19.21  23
21.94  23
22.34  22
23.36  16
27.54  19
31.86  25

Atomic structure:
Unit cell a=6.490 b=6.490 c=16.225 alpha=91.45 beta=91.45 gamma=120.10
Element x y z (fractional)
Na (0.190, 0.810, 0.500)
Na (0.810, 0.190, 0.000)
U (0.024, 0.460, 0.709)
U (0.460, 0.024, 0.209)
B (0.135, 0.354, 0.205)
B (0.354, 0.135, 0.705)
B (0.549, 0.572, 0.747)
B (0.572, 0.549, 0.247)
B (0.598, 0.946, 0.683)
B (0.673, 0.840, 0.544)
B (0.691, 0.768, 0.391)
B (0.768, 0.691, 0.891)
B (0.840, 0.673, 0.044)
B (0.861, 0.914, 0.164)
B (0.914, 0.861, 0.664)
B (0.946, 0.598, 0.183)
O (0.016, 0.465, 0.820)
O (0.026, 0.454, 0.598)
O (0.035, 0.855, 0.199)
O (0.151, 0.574, 0.209)
O (0.158, 0.915, 0.685)
O (0.242, 0.445, 0.997)
O (0.335, 0.338, 0.218)
O (0.338, 0.335, 0.718)
O (0.445, 0.242, 0.497)
O (0.454, 0.026, 0.098)
O (0.455, 0.734, 0.730)
O (0.455, 0.941, 0.912)
O (0.465, 0.016, 0.320)
O (0.533, 0.887, 0.594)
O (0.557, 0.589, 0.334)
O (0.574, 0.151, 0.709)
O (0.588, 0.784, 0.463)
O (0.589, 0.557, 0.834)
O (0.627, 0.762, 0.201)
O (0.734, 0.455, 0.230)
O (0.762, 0.627, 0.701)
O (0.784, 0.588, 0.963)
O (0.840, 0.874, 0.073)
O (0.855, 0.035, 0.699)
O (0.874, 0.840, 0.573)
O (0.887, 0.533, 0.094)
O (0.915, 0.158, 0.185)
O (0.925, 0.929, 0.381)
O (0.929, 0.925, 0.881)
O (0.941, 0.455, 0.412)

---

The following is a theoretical X-ray diffraction stick pattern of Na2ZnB6O11. It was derived from a structure optimized by DFT (PBE), using Cu Kα (weighted mean of Kα1 and Kα2).
Intensities are scaled so that the largest is 100.

Largest 10 diffraction maxima, in order of rising 2θ, 10 to 90 degrees two-theta:
2theta  I/Imax
14.74  55
19.51  24
24.55  66
27.35  100
29.00  59
29.72  49
31.19  32
33.03  30
33.28  25
46.00  29

Atomic structure:
Unit cell a=6.609 b=6.609 c=11.626 alpha=108.10 beta=108.10 gamma=68.96
Element x y z (fractional)
Na (0.057, 0.235, 0.034)
Na (0.235, 0.057, 0.534)
Na (0.765, 0.943, 0.466)
Na (0.943, 0.765, 0.966)
Zn (0.368, 0.632, 0.750)
Zn (0.632, 0.368, 0.250)
B (0.175, 0.592, 0.266)
B (0.206, 0.607, 0.488)
B (0.240, 0.288, 0.846)
B (0.288, 0.240, 0.346)
B (0.393, 0.794, 0.012)
B (0.408, 0.825, 0.234)
B (0.592, 0.175, 0.766)
B (0.607, 0.206, 0.988)
B (0.712, 0.760, 0.654)
B (0.760, 0.712, 0.154)
B (0.794, 0.393, 0.512)
B (0.825, 0.408, 0.734)
O (0.016, 0.352, 0.838)
O (0.127, 0.710, 0.389)
O (0.214, 0.738, 0.603)
O (0.246, 0.338, 0.250)
O (0.262, 0.786, 0.897)
O (0.270, 0.373, 0.466)
O (0.290, 0.873, 0.111)
O (0.338, 0.246, 0.750)
O (0.352, 0.016, 0.338)
O (0.369, 0.631, 0.250)
O (0.373, 0.270, 0.966)
O (0.627, 0.730, 0.034)
O (0.631, 0.369, 0.750)
O (0.648, 0.984, 0.662)
O (0.662, 0.754, 0.250)
O (0.710, 0.127, 0.889)
O (0.730, 0.627, 0.534)
O (0.738, 0.214, 0.103)
O (0.754, 0.662, 0.750)
O (0.786, 0.262, 0.397)
O (0.873, 0.290, 0.611)
O (0.984, 0.648, 0.162)

---

The following is a theoretical X-ray diffraction stick pattern of Na2ZnB6O11. It was derived from a structure optimized by DFT (PBE), using Cu Kα (weighted mean of Kα1 and Kα2).
Intensities are scaled so that the largest is 100.

Largest 10 diffraction maxima, in order of rising 2θ, 10 to 90 degrees two-theta:
2theta  I/Imax
14.76  59
24.59  68
27.41  100
29.05  60
29.78  47
31.26  33
33.12  31
33.34  26
46.09  29
46.69  25

Atomic structure:
Unit cell a=6.595 b=6.595 c=11.603 alpha=108.08 beta=108.08 gamma=69.03
Element x y z (fractional)
Na (0.086, 0.914, 0.500)
Na (0.621, 0.805, 0.433)
Na (0.805, 0.621, 0.933)
Na (0.914, 0.086, 0.000)
Zn (0.227, 0.490, 0.714)
Zn (0.490, 0.227, 0.214)
B (0.035, 0.445, 0.228)
B (0.074, 0.463, 0.451)
B (0.097, 0.148, 0.810)
B (0.148, 0.097, 0.310)
B (0.251, 0.659, 0.976)
B (0.267, 0.684, 0.198)
B (0.445, 0.035, 0.728)
B (0.463, 0.074, 0.951)
B (0.570, 0.615, 0.618)
B (0.615, 0.570, 0.118)
B (0.659, 0.251, 0.476)
B (0.684, 0.267, 0.698)
O (0.088, 0.595, 0.566)
O (0.110, 0.195, 0.214)
O (0.120, 0.652, 0.860)
O (0.134, 0.229, 0.430)
O (0.150, 0.737, 0.075)
O (0.195, 0.110, 0.714)
O (0.209, 0.873, 0.302)
O (0.223, 0.486, 0.206)
O (0.229, 0.134, 0.930)
O (0.485, 0.592, 0.999)
O (0.486, 0.223, 0.706)
O (0.497, 0.839, 0.626)
O (0.516, 0.617, 0.215)
O (0.565, 0.992, 0.851)
O (0.592, 0.485, 0.499)
O (0.595, 0.088, 0.066)
O (0.617, 0.516, 0.715)
O (0.652, 0.120, 0.360)
O (0.737, 0.150, 0.575)
O (0.839, 0.497, 0.126)
O (0.873, 0.209, 0.802)
O (0.992, 0.565, 0.351)